Diffraction record for CoH8C4O8. The X-ray diffraction stick pattern is computed, not measured: it uses a DFT-relaxed cell (GGA+U, the Materials Project) and Cu Kα (λ = 1.5418 Å).
Kinematic intensities with the Lorentz-polarization factor, no thermal factor.

Main lines, most intense first (10 to 90 degrees two-theta):
2θ/deg	d_spacing	I_rel
16.20	5.473	100
25.76	3.459	72
24.90	3.577	46
11.90	7.437	43
18.73	4.737	43
36.71	2.448	39
33.47	2.677	29
13.25	6.682	28
19.84	4.475	27
30.02	2.977	20

Crystal structure
abc: 8.0808 8.0808 7.0235
angles: 95.59 95.59 111.57
Fractional positions:
Co 0.0000 0.5000 0.0000
Co 0.5000 0.0000 0.5000
H 0.0235 0.2727 0.2334
H 0.0551 0.3611 0.6363
H 0.0959 0.2215 0.0465
H 0.1492 0.6540 0.3707
H 0.2215 0.0959 0.5465
H 0.2727 0.0235 0.7334
H 0.3460 0.8508 0.1293
H 0.3611 0.0551 0.1363
H 0.6389 0.9449 0.8637
H 0.6540 0.1492 0.8707
H 0.7273 0.9765 0.2666
H 0.7785 0.9041 0.4535
H 0.8508 0.3460 0.6293
H 0.9041 0.7785 0.9535
H 0.9449 0.6389 0.3637
H 0.9765 0.7273 0.7666
C 0.3696 0.4063 0.4986
C 0.3990 0.5501 0.0076
C 0.4063 0.3696 0.9986
C 0.4499 0.6010 0.4924
C 0.5501 0.3990 0.5076
C 0.5937 0.6304 0.0014
C 0.6010 0.4499 0.9924
C 0.6304 0.5937 0.5014
O 0.0018 0.7432 0.9079
O 0.0289 0.6040 0.2916
O 0.2110 0.2950 0.4982
O 0.2568 0.9982 0.5921
O 0.2809 0.6171 0.0171
O 0.2950 0.2110 0.9982
O 0.3829 0.7191 0.4829
O 0.3960 0.9711 0.2084
O 0.6040 0.0289 0.7916
O 0.6171 0.2809 0.5171
O 0.7050 0.7890 0.0018
O 0.7191 0.3829 0.9829
O 0.7432 0.0018 0.4079
O 0.7890 0.7050 0.5018
O 0.9711 0.3960 0.7084
O 0.9982 0.2568 0.0921